[1]
Calculated powder X-ray diffraction pattern
Compound: KTe4As2
Radiation: Cu Ka
Structure: DFT lattice parameters and positions (PBE)
Kinematic intensities with the Lorentz-polarization factor, no thermal factor.

Cell and atoms:
```
KTe4As2
1.0
5.4235 -4.9253 0.0000
5.4235 4.9253 0.0000
-4.8330 0.0000 10.5133
K Te As
2 8 4
direct
0.0000 0.0000 0.0000
0.6536 0.3464 0.5000
0.1378 0.4653 0.9291
0.1522 0.1302 0.5440
0.1932 0.3867 0.2779
0.5347 0.8622 0.0709
0.6118 0.3338 0.8050
0.6133 0.8068 0.7221
0.6662 0.3882 0.1950
0.8698 0.8478 0.4560
0.3538 0.0793 0.7677
0.3536 0.6104 0.1644
0.3896 0.6464 0.8356
0.9207 0.6462 0.2323
```

Most intense lines, 15 to 90 degrees two-theta, by intensity:
d_spacing  2theta  I_rel
3.116  28.65  100.0
3.585  24.83  73.3
5.150  17.22  60.8
2.990  29.88  60.1
4.460  19.91  53.5
4.959  17.89  45.5
2.708  33.08  42.8
3.703  24.03  42.2
2.230  40.45  38.6
2.815  31.79  38.3
2.401  37.46  34.7
1.923  47.26  33.1

=====

[2]
Calculated powder X-ray diffraction pattern
Compound: K7Te6As
Radiation: Cu Ka
Structure: DFT lattice parameters and positions (PBE)
Kinematic intensities with the Lorentz-polarization factor, no thermal factor.

Cell and atoms:
```
K7Te6As
1.0
-4.2999 8.4895 8.7862
4.2999 -8.4895 8.7862
4.2999 8.4895 -8.7862
K Te As
14 12 2
direct
0.0075 0.2283 0.2358
0.0835 0.5449 0.8776
0.1672 0.0449 0.4614
0.2500 0.2500 0.0000
0.3328 0.7941 0.8776
0.4165 0.2941 0.4614
0.4925 0.7283 0.2207
0.5075 0.2717 0.7793
0.5835 0.7059 0.5386
0.6672 0.2059 0.1224
0.7500 0.7500 0.0000
0.8328 0.9551 0.5386
0.9165 0.4551 0.1224
0.9925 0.7717 0.7642
0.0747 0.8473 0.5864
0.1646 0.9779 0.1425
0.2391 0.6527 0.2274
0.2609 0.4884 0.4136
0.3354 0.4779 0.8133
0.4253 0.0116 0.7726
0.5747 0.9884 0.2274
0.6646 0.5221 0.1867
0.7391 0.5116 0.5864
0.7609 0.3473 0.7726
0.8354 0.0221 0.8575
0.9253 0.1527 0.4136
0.2500 0.7500 0.5000
0.7500 0.2500 0.5000
```

Most intense lines, 15 to 90 degrees two-theta, by intensity:
d_spacing  2theta  I_rel
4.205  21.13  100.0
5.779  15.33  99.6
2.956  30.24  55.7
2.857  31.31  48.8
3.192  27.96  45.8
3.720  23.92  43.9
3.218  27.72  41.7
3.073  29.06  40.9
2.379  37.82  38.2
2.691  33.30  38.0
2.929  30.52  33.7
4.163  21.34  31.8

=====

[3]
Calculated powder X-ray diffraction pattern
Compound: K4TlAs
Radiation: Cu Ka
Structure: DFT lattice parameters and positions (PBE)
Kinematic intensities with the Lorentz-polarization factor, no thermal factor.

Cell and atoms:
```
K4TlAs
1.0
0.0000 4.9681 4.9681
4.9681 0.0000 4.9681
4.9681 4.9681 0.0000
K Tl As
4 1 1
direct
0.3767 0.3767 0.3767
0.3767 0.3767 0.8700
0.3767 0.8700 0.3767
0.8700 0.3767 0.3767
0.0000 0.0000 0.0000
0.7500 0.7500 0.7500
```

Most intense lines, 15 to 90 degrees two-theta, by intensity:
d_spacing  2theta  I_rel
2.996  29.82  100.0
3.513  25.35  68.0
1.912  47.55  36.0
5.737  15.45  34.4
2.028  44.68  30.1
1.756  52.07  22.9
1.294  73.16  21.6
1.328  70.99  15.4
4.968  17.85  15.3
2.868  31.18  14.7
1.571  58.77  13.4
1.515  61.16  12.4

=====

[4]
Calculated powder X-ray diffraction pattern
Compound: K5TlAs2
Radiation: Cu Ka
Structure: DFT lattice parameters and positions (PBE)
Kinematic intensities with the Lorentz-polarization factor, no thermal factor.

Cell and atoms:
```
K5TlAs2
1.0
2.8866 1.6666 10.3495
-2.8866 1.6666 10.3495
0.0000 -3.3332 10.3495
K Tl As
5 1 2
direct
0.0000 0.0000 0.0000
0.1178 0.1178 0.1178
0.2813 0.2813 0.2813
0.7187 0.7187 0.7187
0.8822 0.8822 0.8822
0.5000 0.5000 0.5000
0.4037 0.4037 0.4037
0.5963 0.5963 0.5963
```

Most intense lines, 15 to 90 degrees two-theta, by intensity:
d_spacing  2theta  I_rel
2.887  30.98  100.0
4.936  17.97  67.2
4.759  18.64  55.4
2.638  33.99  52.2
3.066  29.13  42.6
1.614  57.05  22.7
2.214  40.76  21.7
1.947  46.65  21.0
1.481  62.72  19.7
1.667  55.11  18.3
1.699  53.97  14.4
2.102  43.04  14.3

=====

[5]
Calculated powder X-ray diffraction pattern
Compound: K6As4W
Radiation: Cu Ka
Structure: DFT lattice parameters and positions (PBE)
Kinematic intensities with the Lorentz-polarization factor, no thermal factor.

Cell and atoms:
```
K6As4W
1.0
10.3294 0.0000 0.0000
-5.1647 8.9455 0.0000
0.0000 0.0000 8.2102
K As W
12 8 2
direct
0.0634 0.5317 0.0000
0.1460 0.2920 0.3197
0.1460 0.8540 0.3197
0.2920 0.1460 0.8197
0.4683 0.5317 0.0000
0.4683 0.9366 0.0000
0.5317 0.0634 0.5000
0.5317 0.4683 0.5000
0.7080 0.8540 0.3197
0.8540 0.1460 0.8197
0.8540 0.7080 0.8197
0.9366 0.4683 0.5000
0.2039 0.4077 0.7039
0.2039 0.7961 0.7039
0.3333 0.6667 0.3151
0.4077 0.2039 0.2039
0.5923 0.7961 0.7039
0.6667 0.3333 0.8151
0.7961 0.2039 0.2039
0.7961 0.5923 0.2039
0.3333 0.6667 0.6099
0.6667 0.3333 0.1099
```

Most intense lines, 15 to 90 degrees two-theta, by intensity:
d_spacing  2theta  I_rel
3.126  28.55  100.0
2.582  34.74  82.7
2.615  34.29  71.2
3.024  29.54  54.3
2.803  31.93  45.7
1.642  56.02  44.5
2.126  42.52  42.1
4.473  19.85  38.5
5.165  17.17  38.4
1.837  49.62  36.1
1.991  45.56  27.7
2.334  38.57  26.9

=====

[6]
Calculated powder X-ray diffraction pattern
Compound: KY4As
Radiation: Cu Ka
Structure: DFT lattice parameters and positions (PBE)
Kinematic intensities with the Lorentz-polarization factor, no thermal factor.

Cell and atoms:
```
KY4As
1.0
0.0000 4.6880 4.6880
4.6880 0.0000 4.6880
4.6880 4.6880 0.0000
K Y As
1 4 1
direct
0.0000 0.0000 0.0000
0.1279 0.6240 0.6240
0.6240 0.1279 0.6240
0.6240 0.6240 0.1279
0.6240 0.6240 0.6240
0.2500 0.2500 0.2500
```

Most intense lines, 15 to 90 degrees two-theta, by intensity:
d_spacing  2theta  I_rel
2.827  31.65  100.0
2.707  33.10  55.2
1.804  50.59  34.1
1.657  55.44  31.4
5.413  16.38  24.9
1.413  66.10  21.1
1.221  78.33  20.3
3.315  26.90  15.3
2.344  38.40  12.3
1.430  65.25  11.5
2.151  42.00  6.4
1.914  47.51  6.0

=====

[7]
Calculated powder X-ray diffraction pattern
Compound: KZn4As3
Radiation: Cu Ka
Structure: DFT lattice parameters and positions (PBE)
Kinematic intensities with the Lorentz-polarization factor, no thermal factor.

Cell and atoms:
```
KZn4As3
1.0
2.1096 1.2180 11.7453
-2.1096 1.2180 11.7453
0.0000 -2.4360 11.7453
K Zn As
1 4 3
direct
0.0000 0.0000 0.0000
0.1968 0.1968 0.1968
0.4153 0.4153 0.4153
0.5847 0.5847 0.5847
0.8032 0.8032 0.8032
0.2668 0.2668 0.2668
0.5000 0.5000 0.5000
0.7332 0.7332 0.7332
```

Most intense lines, 15 to 90 degrees two-theta, by intensity:
d_spacing  2theta  I_rel
2.110  42.87  100.0
2.177  41.48  68.1
3.375  26.41  57.3
2.536  35.39  38.6
3.244  27.50  26.2
3.634  24.49  23.9
1.515  61.18  20.9
1.231  77.58  20.5
1.570  58.83  17.6
1.218  78.54  15.6
2.074  43.63  15.2
1.713  53.48  14.8

=====

[8]
Calculated powder X-ray diffraction pattern
Compound: K2Zn5As4
Radiation: Cu Ka
Structure: DFT lattice parameters and positions (PBE)
Kinematic intensities with the Lorentz-polarization factor, no thermal factor.

Cell and atoms:
```
K2Zn5As4
1.0
5.8489 -3.5834 0.0000
5.8489 3.5834 0.0000
0.0000 0.0000 11.7442
K Zn As
4 10 8
direct
0.2116 0.2116 0.0000
0.2116 0.2116 0.5000
0.7884 0.7884 0.0000
0.7884 0.7884 0.5000
0.0104 0.9896 0.7500
0.2472 0.4656 0.7500
0.3455 0.6545 0.1083
0.3455 0.6545 0.3917
0.4656 0.2472 0.2500
0.5344 0.7528 0.7500
0.6545 0.3455 0.6083
0.6545 0.3455 0.8917
0.7528 0.5344 0.2500
0.9896 0.0104 0.2500
0.0814 0.6033 0.2500
0.2794 0.7206 0.5992
0.2794 0.7206 0.9008
0.3967 0.9186 0.2500
0.6033 0.0814 0.7500
0.7206 0.2794 0.0992
0.7206 0.2794 0.4008
0.9186 0.3967 0.7500
```

Most intense lines, 15 to 90 degrees two-theta, by intensity:
d_spacing  2theta  I_rel
5.861  15.12  100.0
2.008  45.16  69.3
2.621  34.20  68.0
2.958  30.21  63.9
2.711  33.05  47.4
2.227  40.51  34.9
1.794  50.91  28.2
2.341  38.46  26.8
2.645  33.90  26.8
2.116  42.73  26.3
1.950  46.58  24.5
2.072  43.69  22.9

=====

[9]
Calculated powder X-ray diffraction pattern
Compound: LaAs2
Radiation: Cu Ka
Structure: DFT lattice parameters and positions (PBE)
Kinematic intensities with the Lorentz-polarization factor, no thermal factor.

Cell and atoms:
```
LaAs2
1.0
6.4722 -7.2885 0.0000
6.4722 7.2885 0.0000
-6.4416 0.0000 6.4770
La As
8 16
direct
0.0413 0.9587 0.5000
0.1937 0.5913 0.2079
0.4055 0.9657 0.1043
0.5635 0.6471 0.8062
0.5913 0.1937 0.7079
0.6471 0.5635 0.3062
0.9587 0.0413 0.0000
0.9657 0.4055 0.6043
0.0227 0.7683 0.6979
0.1648 0.4197 0.4232
0.2122 0.9577 0.2907
0.2453 0.7438 0.6342
0.2900 0.3353 0.6742
0.3353 0.2900 0.1742
0.3637 0.6020 0.9921
0.4197 0.1648 0.9232
0.5789 0.8267 0.5987
0.6020 0.3637 0.4921
0.6939 0.9458 0.4632
0.7438 0.2453 0.1342
0.7683 0.0227 0.1979
0.8267 0.5789 0.0987
0.9458 0.6939 0.9632
0.9577 0.2122 0.7907
```

Most intense lines, 15 to 90 degrees two-theta, by intensity:
d_spacing  2theta  I_rel
2.375  37.88  100.0
2.686  33.36  99.5
2.696  33.23  97.5
3.131  28.50  80.0
2.958  30.21  48.6
3.176  28.10  48.1
2.778  32.22  41.9
1.856  49.07  40.4
3.942  22.55  39.4
2.045  44.29  39.1
2.050  44.19  36.4
2.250  40.07  23.8

=====

[10]
Calculated powder X-ray diffraction pattern
Compound: LaMgAs2Rh5
Radiation: Cu Ka
Structure: DFT lattice parameters and positions (PBE)
Kinematic intensities with the Lorentz-polarization factor, no thermal factor.

Cell and atoms:
```
LaMgAs2Rh5
1.0
4.1465 0.0000 0.0000
0.0000 4.1465 0.0000
0.0000 0.0000 10.2463
La Mg As Rh
1 1 2 5
direct
0.0000 0.0000 0.0000
0.0000 0.0000 0.5000
0.5000 0.5000 0.2323
0.5000 0.5000 0.7677
0.0000 0.5000 0.3451
0.0000 0.5000 0.6549
0.5000 0.0000 0.3451
0.5000 0.0000 0.6549
0.5000 0.5000 0.0000
```

Most intense lines, 15 to 90 degrees two-theta, by intensity:
d_spacing  2theta  I_rel
2.819  31.74  100.0
1.929  47.11  75.8
2.073  43.66  65.9
3.415  26.09  62.8
1.772  51.57  37.6
1.167  82.67  28.8
3.223  27.68  27.7
2.545  35.27  25.0
1.466  63.45  21.2
1.301  72.70  17.7
1.347  69.82  14.9
2.225  40.55  13.8

=====

[11]
Calculated powder X-ray diffraction pattern
Compound: LaMn2AsN2
Radiation: Cu Ka
Structure: DFT lattice parameters and positions (PBE)
Kinematic intensities with the Lorentz-polarization factor, no thermal factor.

Cell and atoms:
```
LaMn2AsN2
1.0
5.9499 0.0000 0.0000
0.0000 4.8054 0.0000
-2.4427 0.0000 6.6828
La Mn As N
2 4 2 4
direct
0.1872 0.2500 0.3586
0.8128 0.7500 0.6414
0.3648 0.5007 0.8045
0.3648 0.9993 0.8045
0.6352 0.0007 0.1955
0.6352 0.4993 0.1955
0.2674 0.7500 0.0589
0.7326 0.2500 0.9411
0.1355 0.2500 0.6916
0.3976 0.7500 0.6281
0.6024 0.2500 0.3719
0.8645 0.7500 0.3084
```

Most intense lines, 15 to 90 degrees two-theta, by intensity:
d_spacing  2theta  I_rel
3.550  25.08  100.0
2.743  32.64  59.8
2.310  38.98  43.1
2.368  38.00  41.3
2.794  32.03  36.0
2.935  30.46  30.0
2.016  44.96  27.7
1.775  51.47  27.2
2.186  41.30  27.1
2.966  30.13  24.5
1.634  56.32  24.2
3.901  22.79  23.2

=====

[12]
Calculated powder X-ray diffraction pattern
Compound: La2MnAs3Pt4
Radiation: Cu Ka
Structure: DFT lattice parameters and positions (PBE)
Kinematic intensities with the Lorentz-polarization factor, no thermal factor.

Cell and atoms:
```
La2MnAs3Pt4
1.0
4.3663 0.0000 0.0000
0.0000 4.3663 0.0000
0.0000 0.0000 10.4319
La Mn As Pt
2 1 3 4
direct
0.0000 0.5000 0.2425
0.5000 0.0000 0.7575
0.0000 0.0000 0.5000
0.0000 0.5000 0.8667
0.5000 0.0000 0.1333
0.5000 0.5000 0.5000
0.0000 0.0000 0.0000
0.0000 0.5000 0.6299
0.5000 0.0000 0.3701
0.5000 0.5000 0.0000
```

Most intense lines, 15 to 90 degrees two-theta, by intensity:
d_spacing  2theta  I_rel
2.657  33.74  100.0
2.183  41.36  73.4
2.720  32.93  57.2
1.992  45.53  38.6
2.961  30.19  29.9
1.703  53.85  28.4
1.883  48.35  26.7
1.544  59.92  24.6
1.335  70.56  23.4
1.426  65.47  21.6
1.120  87.04  17.3
3.348  26.62  17.0

=====

[13]
Calculated powder X-ray diffraction pattern
Compound: La3MoAs
Radiation: Cu Ka
Structure: DFT lattice parameters and positions (PBE)
Kinematic intensities with the Lorentz-polarization factor, no thermal factor.

Cell and atoms:
```
La3MoAs
1.0
5.4160 0.0000 0.0000
0.0000 5.4160 0.0000
0.0000 0.0000 5.4160
La Mo As
3 1 1
direct
0.0000 0.0000 0.5000
0.0000 0.5000 0.0000
0.5000 0.0000 0.0000
0.0000 0.0000 0.0000
0.5000 0.5000 0.5000
```

Most intense lines, 15 to 90 degrees two-theta, by intensity:
d_spacing  2theta  I_rel
2.708  33.08  100.0
3.127  28.55  86.6
1.915  47.48  72.0
5.416  16.37  40.8
1.633  56.34  38.7
1.211  79.07  31.8
1.106  88.42  24.8
1.563  59.09  24.8
2.422  37.12  21.0
1.243  76.70  15.5
1.354  69.41  11.4
1.805  50.56  10.7